# 1
Starting from a GGA-PBE-relaxed structure, the powder diffractogram of Y3Tm5Bi8 was simulated for Cu Kα.
Peak positions follow from Bragg's law for the DFT cell and can differ from measured ones.

Atomic structure:
a = 8.9054 Å, b = 8.9054 Å, c = 8.9054 Å
α = 60.00°, β = 60.00°, γ = 60.00°
Fractional positions:
1 Y 0.0000 0.5000 0.5000
2 Y 0.5000 0.0000 0.5000
3 Y 0.5000 0.5000 0.0000
4 Tm 0.0000 0.0000 0.0000
5 Tm 0.0000 0.0000 0.5000
6 Tm 0.0000 0.5000 0.0000
7 Tm 0.5000 0.0000 0.0000
8 Tm 0.5000 0.5000 0.5000
9 Bi 0.2474 0.7500 0.7500
10 Bi 0.2487 0.2487 0.2487
11 Bi 0.2500 0.2500 0.7526
12 Bi 0.2500 0.7526 0.2500
13 Bi 0.7500 0.2474 0.7500
14 Bi 0.7500 0.7500 0.2474
15 Bi 0.7513 0.7513 0.7513
16 Bi 0.7526 0.2500 0.2500

The 12 most intense peaks (10° ≤ 2θ ≤ 80°), in order of falling intensity:
| Position (°2θ) | d/Å | Rel. int. |
| --- | --- | --- |
| 28.35 | 3.149 | 1000 |
| 40.52 | 2.226 | 779 |
| 66.39 | 1.408 | 370 |
| 50.19 | 1.818 | 282 |
| 73.70 | 1.285 | 276 |
| 58.64 | 1.574 | 134 |
| 24.48 | 3.636 | 69 |
| 47.91 | 1.899 | 40 |
| 12.17 | 7.271 | 26 |
| 64.50 | 1.445 | 18 |
| 79.01 | 1.212 | 14 |
| 23.43 | 3.797 | 13 |



# 2
Starting from a GGA-PBE-relaxed structure, the powder diffractogram of YTm4Bi5 was simulated for Cu Kα.
Peak positions follow from Bragg's law for the DFT cell and can differ from measured ones.

Atomic structure:
a = 11.7548 Å, b = 11.7548 Å, c = 11.7548 Å
α = 158.21°, β = 149.01°, γ = 38.21°
Fractional positions:
1 Y 0.0000 0.0000 0.0000
2 Tm 0.2007 0.2007 0.0000
3 Tm 0.4001 0.4001 0.0000
4 Tm 0.5999 0.5999 0.0000
5 Tm 0.7993 0.7993 0.0000
6 Bi 0.1015 0.6015 0.5000
7 Bi 0.3004 0.8004 0.5000
8 Bi 0.5000 0.0000 0.5000
9 Bi 0.6996 0.1996 0.5000
10 Bi 0.8985 0.3985 0.5000

The 11 most intense peaks (10° ≤ 2θ ≤ 80°), in order of falling intensity:
| Position (°2θ) | d/Å | Rel. int. |
| --- | --- | --- |
| 28.41 | 3.142 | 1000 |
| 40.61 | 2.221 | 780 |
| 66.56 | 1.405 | 371 |
| 50.31 | 1.814 | 283 |
| 73.90 | 1.283 | 276 |
| 58.79 | 1.571 | 134 |
| 24.54 | 3.628 | 41 |
| 48.03 | 1.894 | 24 |
| 64.66 | 1.441 | 11 |
| 79.22 | 1.209 | 9 |
| 14.66 | 6.044 | 6 |



# 3
Starting from a GGA-PBE-relaxed structure, the powder diffractogram of YTm3Bi was simulated for Cu Kα.
Peak positions follow from Bragg's law for the DFT cell and can differ from measured ones.

Atomic structure:
a = 8.5991 Å, b = 8.8250 Å, c = 9.6971 Å
α = 90.00°, β = 123.56°, γ = 90.00°
Fractional positions:
1 Y 0.1847 0.0688 0.4310
2 Y 0.1847 0.4312 0.9310
3 Y 0.8153 0.5688 0.0690
4 Y 0.8153 0.9312 0.5690
5 Tm 0.0827 0.6809 0.5174
6 Tm 0.0827 0.8191 0.0174
7 Tm 0.2516 0.0677 0.8173
8 Tm 0.2516 0.4323 0.3173
9 Tm 0.4050 0.1102 0.2237
10 Tm 0.4050 0.3898 0.7237
11 Tm 0.5950 0.6102 0.2763
12 Tm 0.5950 0.8898 0.7763
13 Tm 0.7484 0.5677 0.6827
14 Tm 0.7484 0.9323 0.1827
15 Tm 0.9173 0.1809 0.9826
16 Tm 0.9173 0.3191 0.4826
17 Bi 0.3831 0.7232 0.9079
18 Bi 0.3831 0.7768 0.4079
19 Bi 0.6169 0.2232 0.5921
20 Bi 0.6169 0.2768 0.0921

The 12 most intense peaks (10° ≤ 2θ ≤ 80°), in order of falling intensity:
| Position (°2θ) | d/Å | Rel. int. |
| --- | --- | --- |
| 32.90 | 2.722 | 1000 |
| 30.18 | 2.961 | 550 |
| 29.13 | 3.066 | 512 |
| 32.50 | 2.755 | 454 |
| 34.90 | 2.571 | 418 |
| 30.83 | 2.900 | 382 |
| 30.00 | 2.979 | 312 |
| 32.43 | 2.760 | 302 |
| 34.28 | 2.616 | 257 |
| 22.28 | 3.991 | 166 |
| 37.83 | 2.378 | 153 |
| 55.37 | 1.659 | 151 |



# 4
Starting from a GGA-PBE-relaxed structure, the powder diffractogram of Y3TmBi4 was simulated for Cu Kα.
Peak positions follow from Bragg's law for the DFT cell and can differ from measured ones.

Atomic structure:
a = 7.7388 Å, b = 8.9566 Å, c = 7.7392 Å
α = 90.00°, β = 109.49°, γ = 90.00°
Fractional positions:
1 Y 0.0000 0.1253 0.2500
2 Y 0.0000 0.3750 0.7500
3 Y 0.0000 0.6250 0.2500
4 Y 0.0000 0.8747 0.7500
5 Y 0.5000 0.1252 0.7500
6 Y 0.5000 0.8748 0.2500
7 Tm 0.5000 0.3749 0.2500
8 Tm 0.5000 0.6251 0.7500
9 Bi 0.2512 0.1263 0.0014
10 Bi 0.2512 0.8737 0.5014
11 Bi 0.2528 0.3765 0.4999
12 Bi 0.2528 0.6235 0.9999
13 Bi 0.7472 0.3765 0.0001
14 Bi 0.7472 0.6235 0.5001
15 Bi 0.7488 0.1263 0.4986
16 Bi 0.7488 0.8737 0.9986

The 12 most intense peaks (10° ≤ 2θ ≤ 80°), in order of falling intensity:
| Position (°2θ) | d/Å | Rel. int. |
| --- | --- | --- |
| 28.23 | 3.162 | 1000 |
| 40.33 | 2.236 | 648 |
| 49.96 | 1.825 | 281 |
| 66.04 | 1.415 | 184 |
| 66.12 | 1.413 | 184 |
| 24.38 | 3.651 | 168 |
| 73.29 | 1.292 | 137 |
| 73.41 | 1.290 | 137 |
| 58.37 | 1.581 | 133 |
| 40.38 | 2.234 | 129 |
| 47.70 | 1.907 | 95 |
| 78.58 | 1.217 | 21 |